This entry pairs a crystal structure of CoSi2N3 with its simulated powder diffraction line list. Radiation: CuKα. Structure: a PBE-relaxed structure.
No peak broadening, texture or thermal motion is included.

Main lines, low angle first (10° ≤ 2θ ≤ 90°):
Position (°2θ)  Rel. int.
19.05  34.6
33.56  100.0
37.26  61.4
38.20  71.7
38.53  66.6
51.01  38.9
68.03  26.9
73.61  23.1

Atomic structure:
```
12
Lattice="4.6082 -2.6993 0.0000 4.6082 2.6993 0.0000 0.0000 0.0000 4.8265" Properties=species:S:1:pos:R:3 pbc="T T T"
Co 4.6082 2.1439 2.4132
Co 4.6082 -2.1439 0.0000
Si 3.0503 0.8551 0.0292
Si 3.0503 -0.8551 2.4424
Si 6.1662 0.8551 0.0292
Si 6.1662 -0.8551 2.4424
N 2.8149 0.7780 3.1096
N 4.6082 1.3625 0.5303
N 2.8149 -0.7780 0.6964
N 6.4015 0.7780 3.1096
N 4.6082 -1.3625 2.9435
N 6.4015 -0.7780 0.6964
```

***

This entry pairs a crystal structure of CeYAl4 with its simulated powder diffraction line list. Radiation: CuKα. Structure: a PBE-relaxed structure.
No peak broadening, texture or thermal motion is included.

Main lines, low angle first (10° ≤ 2θ ≤ 90°):
Position (°2θ)  Rel. int.
19.31  46.8
31.80  86.1
37.47  100.0
49.94  11.8
56.65  32.6
60.43  32.4
66.44  21.5
75.54  13.7

Atomic structure:
```
6
Lattice="0.0000 3.9801 3.9801 3.9801 0.0000 3.9801 3.9801 3.9801 0.0000" Properties=species:S:1:pos:R:3 pbc="T T T"
Ce 0.0000 0.0000 0.0000
Y 1.9901 1.9901 1.9901
Al 4.9802 2.9800 2.9800
Al 2.9800 4.9802 2.9800
Al 2.9800 2.9800 4.9802
Al 4.9802 4.9802 4.9802
```

***

This entry pairs a crystal structure of MnNbAs with its simulated powder diffraction line list. Radiation: CuKα. Structure: a PBE-relaxed structure.
No peak broadening, texture or thermal motion is included.

Main lines, low angle first (10° ≤ 2θ ≤ 90°):
Position (°2θ)  Rel. int.
25.85  48.8
29.94  3.8
42.85  100.0
50.72  22.3
62.21  15.8
68.52  8.9
78.50  31.5
84.30  6.8

Atomic structure:
```
12
Lattice="5.9693 0.0000 0.0000 0.0000 5.9693 0.0000 0.0000 0.0000 5.9693" Properties=species:S:1:pos:R:3 pbc="T T T"
Mn 0.0000 0.0000 0.0000
Mn 0.0000 2.9846 2.9846
Mn 2.9846 0.0000 2.9846
Mn 2.9846 2.9846 0.0000
Nb 1.4923 1.4923 1.4923
Nb 1.4923 4.4770 4.4770
Nb 4.4770 1.4923 4.4770
Nb 4.4770 4.4770 1.4923
As 0.0000 0.0000 2.9846
As 0.0000 2.9846 0.0000
As 2.9846 0.0000 0.0000
As 2.9846 2.9846 2.9846
```

***

This entry pairs a crystal structure of SrCdGe with its simulated powder diffraction line list. Radiation: CuKα. Structure: a PBE-relaxed structure.
No peak broadening, texture or thermal motion is included.

Main lines, low angle first (10° ≤ 2θ ≤ 90°):
Position (°2θ)  Rel. int.
29.77  30.3
30.44  89.1
31.57  100.0
35.91  45.7
36.71  71.1
38.59  72.9
53.74  27.7
58.95  34.4

Atomic structure:
```
12
Lattice="7.8394 0.0000 0.0000 0.0000 4.6642 0.0000 0.0000 0.0000 8.6269" Properties=species:S:1:pos:R:3 pbc="T T T"
Sr 0.1073 1.1661 1.6021
Sr 3.8124 3.4982 5.9155
Sr 4.0270 1.1661 2.7114
Sr 7.7321 3.4982 7.0249
Cd 1.1691 1.1661 4.8877
Cd 2.7506 3.4982 0.5743
Cd 5.0888 1.1661 8.0527
Cd 6.6704 3.4982 3.7392
Ge 1.7595 3.4982 3.3517
Ge 2.1602 1.1661 7.6652
Ge 5.6792 3.4982 0.9618
Ge 6.0799 1.1661 5.2752
```

***

This entry pairs a crystal structure of KYH8N4 with its simulated powder diffraction line list. Radiation: CuKα. Structure: a PBE-relaxed structure.
No peak broadening, texture or thermal motion is included.

Main lines, low angle first (10° ≤ 2θ ≤ 90°):
Position (°2θ)  Rel. int.
10.45  34.1
14.82  100.0
16.52  63.3
21.01  30.3
22.25  25.4
27.34  26.6
32.40  80.5
34.20  34.9

Atomic structure:
```
28
Lattice="3.6793 -8.4635 0.0000 3.6793 8.4635 0.0000 -2.9965 0.0000 5.2442" Properties=species:S:1:pos:R:3 pbc="T T T"
K 1.4319 5.1686 3.9332
K 2.9301 -5.1686 1.3111
Y 1.4319 1.0956 3.9332
Y 2.9301 -1.0956 1.3111
H -1.2309 2.4301 4.0218
H 0.4015 0.3848 1.1281
H -0.2956 3.3177 4.9904
H -1.0967 -0.3848 3.7502
H 1.6355 1.4121 0.8631
H 0.2674 -2.4301 1.3996
H 0.1372 -1.4121 3.4853
H 3.1594 3.3177 2.8760
H 1.2026 -3.3177 2.3683
H 4.2248 1.4121 1.7590
H 4.0946 2.4301 3.8446
H 2.7266 -1.4121 4.3811
H 5.4587 0.3848 1.4940
H 4.6576 -3.3177 0.2538
H 3.9605 -0.3848 4.1161
H 5.5929 -2.4301 1.2225
N -0.2643 2.7594 4.1218
N 1.2523 0.7569 1.5546
N -0.2460 -0.7569 4.1768
N 1.2340 -2.7594 1.4996
N 3.1280 2.7594 3.7446
N 4.6080 0.7569 1.0675
N 3.1097 -0.7569 3.6896
N 4.6263 -2.7594 1.1225
```